The following is a theoretical powder XRD pattern of RbZrPdSeS2. It was derived from DFT lattice parameters and positions (GGA-PBE), using Cu Kα, 1.54184 Å.

Main lines, in order of rising 2θ (5° ≤ 2θ ≤ 70°):
- 2θ = 11.5°, rel. 100.0
- 2θ = 31.4°, rel. 25.3
- 2θ = 32.6°, rel. 42.4
- 2θ = 35.0°, rel. 26.3
- 2θ = 36.5°, rel. 25.8
- 2θ = 44.1°, rel. 26.7

Structure:
```
data_RbZrPdSeS2
_cell_length_a 8.645
_cell_length_b 3.786
_cell_length_c 10.004
_cell_angle_alpha 90.00
_cell_angle_beta 112.60
_cell_angle_gamma 90.00
_symmetry_space_group_name_H-M 'P 1 21/m 1'
_symmetry_Int_Tables_number 11
_symmetry_space_group_name_Hall '-P 2yb'
loop_
_atom_site_label
_atom_site_fract_x
_atom_site_fract_y
_atom_site_fract_z
_atom_site_occupancy
Rb1 0.228 0.250 0.246 1
Zr1 0.315 0.750 0.844 1
Pd1 0.100 0.250 0.602 1
Se1 0.261 0.750 0.558 1
S1 0.118 0.250 0.858 1
S2 0.461 0.750 0.129 1
```



The following is a theoretical powder XRD pattern of RbTbPdS3. It was derived from DFT lattice parameters and positions (GGA-PBE), using Cu Kα, 1.54184 Å.

Main lines, in order of rising 2θ (5° ≤ 2θ ≤ 70°):
- 2θ = 11.4°, rel. 100.0
- 2θ = 22.8°, rel. 33.2
- 2θ = 28.9°, rel. 42.6
- 2θ = 29.2°, rel. 26.5
- 2θ = 33.2°, rel. 59.1
- 2θ = 40.7°, rel. 40.9

Structure:
```
data_RbTbPdS3
_cell_length_a 4.093
_cell_length_b 15.580
_cell_length_c 9.921
_cell_angle_alpha 90.00
_cell_angle_beta 90.00
_cell_angle_gamma 90.00
_symmetry_space_group_name_H-M 'C m c m'
_symmetry_Int_Tables_number 63
_symmetry_space_group_name_Hall '-C 2c 2'
loop_
_atom_site_label
_atom_site_fract_x
_atom_site_fract_y
_atom_site_fract_z
_atom_site_occupancy
Rb1 0.000 0.247 0.250 1
Tb1 0.000 0.000 0.000 1
Pd1 0.000 0.495 0.750 1
S1 0.000 0.083 0.750 1
S2 0.000 0.390 0.576 1
```



The following is a theoretical powder XRD pattern of Rb2Te2PdS. It was derived from DFT lattice parameters and positions (GGA-PBE), using Cu Kα, 1.54184 Å.

Main lines, in order of rising 2θ (5° ≤ 2θ ≤ 70°):
- 2θ = 13.9°, rel. 42.6
- 2θ = 14.9°, rel. 100.0
- 2θ = 26.7°, rel. 92.0
- 2θ = 29.7°, rel. 54.7
- 2θ = 32.7°, rel. 49.2
- 2θ = 36.6°, rel. 58.6

Structure:
```
data_Rb2Te2PdS
_cell_length_a 7.120
_cell_length_b 7.396
_cell_length_c 9.490
_cell_angle_alpha 107.78
_cell_angle_beta 100.16
_cell_angle_gamma 110.26
_symmetry_space_group_name_H-M 'P -1'
_symmetry_Int_Tables_number 2
_symmetry_space_group_name_Hall '-P 1'
loop_
_atom_site_label
_atom_site_fract_x
_atom_site_fract_y
_atom_site_fract_z
_atom_site_occupancy
Rb1 0.026 0.273 0.132 1
Rb2 0.322 0.297 0.676 1
Te1 0.212 0.701 0.538 1
Te2 0.224 0.866 0.295 1
Pd1 0.499 0.955 0.838 1
S1 0.438 0.222 0.009 1
```



The following is a theoretical powder XRD pattern of RbZrPdS3. It was derived from DFT lattice parameters and positions (GGA-PBE), using Cu Kα, 1.54184 Å.

Main lines, in order of rising 2θ (5° ≤ 2θ ≤ 70°):
- 2θ = 11.7°, rel. 100.0
- 2θ = 23.6°, rel. 35.2
- 2θ = 31.6°, rel. 26.2
- 2θ = 32.8°, rel. 42.0
- 2θ = 36.3°, rel. 24.9
- 2θ = 36.8°, rel. 26.3

Structure:
```
data_RbZrPdS3
_cell_length_a 8.536
_cell_length_b 3.786
_cell_length_c 9.802
_cell_angle_alpha 90.00
_cell_angle_beta 112.29
_cell_angle_gamma 90.00
_symmetry_space_group_name_H-M 'P 1 21/m 1'
_symmetry_Int_Tables_number 11
_symmetry_space_group_name_Hall '-P 2yb'
loop_
_atom_site_label
_atom_site_fract_x
_atom_site_fract_y
_atom_site_fract_z
_atom_site_occupancy
Rb1 0.239 0.250 0.266 1
Zr1 0.313 0.750 0.841 1
Pd1 0.103 0.250 0.594 1
S1 0.115 0.250 0.855 1
S2 0.254 0.750 0.564 1
S3 0.461 0.750 0.132 1
```



The following is a theoretical powder XRD pattern of RbSbTe3Pd. It was derived from DFT lattice parameters and positions (GGA-PBE), using Cu Kα, 1.54184 Å.

Main lines, in order of rising 2θ (5° ≤ 2θ ≤ 70°):
- 2θ = 10.7°, rel. 100.0
- 2θ = 27.4°, rel. 96.0
- 2θ = 31.9°, rel. 73.5
- 2θ = 39.0°, rel. 39.8
- 2θ = 39.5°, rel. 32.0
- 2θ = 42.4°, rel. 29.7

Structure:
```
data_RbSbTe3Pd
_cell_length_a 9.202
_cell_length_b 4.614
_cell_length_c 10.629
_cell_angle_alpha 90.00
_cell_angle_beta 115.32
_cell_angle_gamma 90.00
_symmetry_space_group_name_H-M 'P 1 21/m 1'
_symmetry_Int_Tables_number 11
_symmetry_space_group_name_Hall '-P 2yb'
loop_
_atom_site_label
_atom_site_fract_x
_atom_site_fract_y
_atom_site_fract_z
_atom_site_occupancy
Rb1 0.241 0.250 0.206 1
Sb1 0.212 0.750 0.622 1
Te1 0.012 0.250 0.696 1
Te2 0.347 0.750 0.971 1
Te3 0.415 0.250 0.596 1
Pd1 0.345 0.250 0.837 1
```



The following is a theoretical powder XRD pattern of RbTmPdSe5. It was derived from DFT lattice parameters and positions (GGA-PBE), using Cu Kα, 1.54184 Å.

Main lines, in order of rising 2θ (5° ≤ 2θ ≤ 70°):
- 2θ = 8.4°, rel. 100.0
- 2θ = 22.6°, rel. 40.3
- 2θ = 27.1°, rel. 38.2
- 2θ = 30.4°, rel. 22.5
- 2θ = 34.1°, rel. 20.8
- 2θ = 45.5°, rel. 19.6

Structure:
```
data_RbTmPdSe5
_cell_length_a 5.660
_cell_length_b 8.666
_cell_length_c 10.565
_cell_angle_alpha 90.00
_cell_angle_beta 92.07
_cell_angle_gamma 90.00
_symmetry_space_group_name_H-M 'P 1 21/m 1'
_symmetry_Int_Tables_number 11
_symmetry_space_group_name_Hall '-P 2yb'
loop_
_atom_site_label
_atom_site_fract_x
_atom_site_fract_y
_atom_site_fract_z
_atom_site_occupancy
Rb1 0.146 0.250 0.077 1
Tm1 0.498 0.250 0.673 1
Pd1 0.000 0.000 0.500 1
Se1 0.019 0.750 0.382 1
Se2 0.279 0.546 0.679 1
Se3 0.367 0.750 0.093 1
Se4 0.456 0.250 0.379 1
```